For Sc2Si2O7, a crystal structure in the Materials Project, relaxed with GGA-PBE gives the calculated XRD peak list in this record (a wavelength of 1.5418 Å).
No peak broadening, texture or thermal motion is included.

Atomic structure:
a b c (Å): 5.4039 5.4039 4.7369
angles (deg): 97.77 97.77 105.29
Atoms (fractional coordinates):
1 Sc 0.1897 0.8103 0.0000
2 Sc 0.8103 0.1897 0.0000
3 Si 0.2763 0.2763 0.5934
4 Si 0.7237 0.7237 0.4066
5 O 0.1054 0.1054 0.2804
6 O 0.1077 0.4226 0.7885
7 O 0.4226 0.1077 0.7885
8 O 0.5000 0.5000 0.5000
9 O 0.5774 0.8923 0.2115
10 O 0.8923 0.5774 0.2115
11 O 0.8946 0.8946 0.7196

Principal peaks in the range 2θ = 10–90°, most intense first:
- 2θ 28.38, intensity 100.0
- 2θ 30.25, intensity 49.3
- 2θ 28.22, intensity 48.9
- 2θ 55.44, intensity 29.4
- 2θ 41.21, intensity 19.9
- 2θ 43.93, intensity 19.3
- 2θ 48.08, intensity 17.0
- 2θ 34.31, intensity 15.9
- 2θ 17.29, intensity 15.4
- 2θ 34.99, intensity 12.5
- 2θ 67.78, intensity 9.9
- 2θ 61.45, intensity 9.1

=====

For Sc2Si2O7, a crystal structure in the Materials Project, relaxed with GGA-PBE gives the calculated XRD peak list in this record (a wavelength of 1.5418 Å).
No peak broadening, texture or thermal motion is included.

Atomic structure:
a b c (Å): 6.6275 6.6275 6.6275
angles (deg): 60.00 60.00 60.00
Atoms (fractional coordinates):
1 Sc 0.0000 0.0000 0.0000
2 Sc 0.0000 0.0000 0.5000
3 Sc 0.0000 0.5000 0.0000
4 Sc 0.5000 0.0000 0.0000
5 Si 0.0000 0.5000 0.5000
6 Si 0.5000 0.0000 0.5000
7 Si 0.5000 0.5000 0.0000
8 Si 0.5000 0.5000 0.5000
9 O 0.1250 0.1250 0.1250
10 O 0.1757 0.1757 0.5743
11 O 0.1757 0.5743 0.1757
12 O 0.1757 0.5743 0.5743
13 O 0.4257 0.4257 0.8243
14 O 0.4257 0.8243 0.4257
15 O 0.4257 0.8243 0.8243
16 O 0.5743 0.1757 0.1757
17 O 0.5743 0.1757 0.5743
18 O 0.5743 0.5743 0.1757
19 O 0.8243 0.4257 0.4257
20 O 0.8243 0.4257 0.8243
21 O 0.8243 0.8243 0.4257
22 O 0.8750 0.8750 0.8750

Principal peaks in the range 2θ = 10–90°, most intense first:
- 2θ 33.11, intensity 100.0
- 2θ 55.46, intensity 61.0
- 2θ 66.13, intensity 35.0
- 2θ 42.02, intensity 22.4
- 2θ 50.60, intensity 8.8
- 2θ 82.30, intensity 7.6
- 2θ 38.42, intensity 6.8
- 2θ 69.48, intensity 5.7
- 2θ 84.64, intensity 3.1
- 2θ 47.53, intensity 2.9
- 2θ 88.52, intensity 2.5
- 2θ 62.69, intensity 1.5

=====

For SrSc4Si5O17, a crystal structure in the Materials Project, relaxed with GGA-PBE gives the calculated XRD peak list in this record (a wavelength of 1.5418 Å).
No peak broadening, texture or thermal motion is included.

Atomic structure:
a b c (Å): 5.3328 19.4509 6.6328
angles (deg): 90.00 106.57 90.00
Atoms (fractional coordinates):
1 Sr 0.2326 0.2500 0.2772
2 Sr 0.7674 0.7500 0.7228
3 Sc 0.3037 0.0380 0.6120
4 Sc 0.3037 0.4620 0.6120
5 Sc 0.3583 0.6599 0.0379
6 Sc 0.3583 0.8401 0.0379
7 Sc 0.6417 0.1599 0.9621
8 Sc 0.6417 0.3401 0.9621
9 Sc 0.6963 0.5380 0.3880
10 Sc 0.6963 0.9620 0.3880
11 Si 0.0620 0.2500 0.7583
12 Si 0.1976 0.0633 0.0905
13 Si 0.1976 0.4367 0.0905
14 Si 0.2350 0.6330 0.5149
15 Si 0.2350 0.8670 0.5149
16 Si 0.7650 0.1330 0.4851
17 Si 0.7650 0.3670 0.4851
18 Si 0.8024 0.5633 0.9095
19 Si 0.8024 0.9367 0.9095
20 Si 0.9380 0.7500 0.2417
21 O 0.0000 0.0000 0.0000
22 O 0.0000 0.5000 0.0000
23 O 0.0219 0.1835 0.5990
24 O 0.0219 0.3165 0.5990
25 O 0.0272 0.1319 0.1020
26 O 0.0272 0.3681 0.1020
27 O 0.0921 0.5595 0.5331
28 O 0.0921 0.9405 0.5331
29 O 0.1498 0.7500 0.1044
30 O 0.3635 0.2500 0.9083
31 O 0.3734 0.0755 0.9237
32 O 0.3734 0.4245 0.9237
33 O 0.3854 0.0353 0.3188
34 O 0.3854 0.4647 0.3188
35 O 0.3891 0.6709 0.7339
36 O 0.3891 0.8291 0.7339
37 O 0.4216 0.6275 0.3551
38 O 0.4216 0.8725 0.3551
39 O 0.5784 0.1275 0.6449
40 O 0.5784 0.3725 0.6449
41 O 0.6109 0.1709 0.2661
42 O 0.6109 0.3291 0.2661
43 O 0.6146 0.5353 0.6812
44 O 0.6146 0.9647 0.6812
45 O 0.6266 0.5755 0.0763
46 O 0.6266 0.9245 0.0763
47 O 0.6365 0.7500 0.0917
48 O 0.8502 0.2500 0.8956
49 O 0.9079 0.0595 0.4669
50 O 0.9079 0.4405 0.4669
51 O 0.9728 0.6319 0.8980
52 O 0.9728 0.8681 0.8980
53 O 0.9781 0.6835 0.4010
54 O 0.9781 0.8165 0.4010

Principal peaks in the range 2θ = 10–90°, most intense first:
- 2θ 28.85, intensity 100.0
- 2θ 33.67, intensity 14.1
- 2θ 26.91, intensity 13.5
- 2θ 30.00, intensity 12.8
- 2θ 46.70, intensity 9.1
- 2θ 34.19, intensity 7.6
- 2θ 42.31, intensity 7.5
- 2θ 29.56, intensity 7.4
- 2θ 31.34, intensity 6.8
- 2θ 41.86, intensity 6.5
- 2θ 44.06, intensity 6.5
- 2θ 53.63, intensity 6.3